Structure and simulated powder X-ray diffraction pattern of K4HgP2 (DFT lattice parameters and positions (GGA-PBE); a wavelength of 1.5418 Å).
Intensities are scaled so that the largest is 100.

Principal peaks in the range 2θ from 5° to 70°, low angle first:
two_theta, Rel. int.
9.71, 74
18.25, 91
19.10, 54
24.28, 95
31.36, 100
31.84, 20
32.90, 29
37.60, 50
40.05, 25
49.74, 22
51.73, 23
59.99, 24

Lattice parameters (Å, degrees): 9.690 9.690 9.690 34.24 34.24 34.24
Atoms (fractional coordinates):
K  0.109  0.109  0.109
K  0.293  0.293  0.293
K  0.707  0.707  0.707
K  0.891  0.891  0.891
Hg  0.500  0.500  0.500
P  0.411  0.411  0.411
P  0.589  0.589  0.589


Structure and simulated powder X-ray diffraction pattern of K6HgSe4 (DFT lattice parameters and positions (GGA-PBE); a wavelength of 1.5418 Å).
Intensities are scaled so that the largest is 100.

Principal peaks in the range 2θ from 5° to 70°, low angle first:
two_theta, Rel. int.
9.71, 80
14.73, 100
16.85, 23
19.48, 34
28.01, 24
28.21, 65
29.71, 53
34.08, 90
35.03, 28
39.12, 35
42.87, 25
49.69, 20

Lattice parameters (Å, degrees): 10.522 10.522 8.007 90.00 90.00 120.00
Atoms (fractional coordinates):
K  0.055  0.528  0.000
K  0.149  0.297  0.329
K  0.149  0.851  0.329
K  0.297  0.149  0.829
K  0.472  0.528  0.000
K  0.472  0.945  0.000
K  0.528  0.055  0.500
K  0.528  0.472  0.500
K  0.703  0.851  0.329
K  0.851  0.149  0.829
K  0.851  0.703  0.829
K  0.945  0.472  0.500
Hg  0.333  0.667  0.624
Hg  0.667  0.333  0.124
Se  0.189  0.378  0.727
Se  0.189  0.811  0.727
Se  0.333  0.667  0.279
Se  0.378  0.189  0.227
Se  0.622  0.811  0.727
Se  0.667  0.333  0.779
Se  0.811  0.189  0.227
Se  0.811  0.622  0.227


Structure and simulated powder X-ray diffraction pattern of K2Hg3Se4 (DFT lattice parameters and positions (GGA-PBE); a wavelength of 1.5418 Å).
Intensities are scaled so that the largest is 100.

Principal peaks in the range 2θ from 5° to 70°, low angle first:
two_theta, Rel. int.
12.25, 100
26.20, 12
27.00, 28
27.53, 23
27.71, 18
29.75, 45
31.61, 37
32.89, 13
36.89, 28
40.49, 23
46.28, 23
49.79, 13

Lattice parameters (Å, degrees): 11.234 6.999 14.445 90.00 90.00 90.00
Atoms (fractional coordinates):
K  0.118  0.230  0.001
K  0.118  0.770  0.501
K  0.382  0.270  0.501
K  0.382  0.730  0.001
K  0.618  0.270  0.999
K  0.618  0.730  0.499
K  0.882  0.230  0.499
K  0.882  0.770  0.999
Hg  0.000  0.412  0.750
Hg  0.000  0.588  0.250
Hg  0.162  0.088  0.258
Hg  0.162  0.912  0.758
Hg  0.338  0.412  0.758
Hg  0.338  0.588  0.258
Hg  0.500  0.088  0.250
Hg  0.500  0.912  0.750
Hg  0.662  0.412  0.742
Hg  0.662  0.588  0.242
Hg  0.838  0.088  0.242
Hg  0.838  0.912  0.742
Se  0.128  0.365  0.370
Se  0.128  0.635  0.870
Se  0.134  0.175  0.639
Se  0.134  0.825  0.139
Se  0.366  0.325  0.139
Se  0.366  0.675  0.639
Se  0.372  0.135  0.870
Se  0.372  0.865  0.370
Se  0.628  0.135  0.630
Se  0.628  0.865  0.130
Se  0.634  0.325  0.361
Se  0.634  0.675  0.861
Se  0.866  0.175  0.861
Se  0.866  0.825  0.361
Se  0.872  0.365  0.130
Se  0.872  0.635  0.630


Structure and simulated powder X-ray diffraction pattern of K2SnHgSe4 (DFT lattice parameters and positions (GGA-PBE); a wavelength of 1.5418 Å).
Intensities are scaled so that the largest is 100.

Principal peaks in the range 2θ from 5° to 70°, low angle first:
two_theta, Rel. int.
15.21, 92
21.58, 23
27.24, 64
30.70, 47
33.21, 100
39.95, 18
42.98, 46
46.79, 18
47.24, 16
49.48, 22
51.20, 35
56.19, 20

Lattice parameters (Å, degrees): 8.238 8.238 7.139 90.00 90.00 90.00
Atoms (fractional coordinates):
K  0.000  0.500  0.000
K  0.000  0.500  0.500
K  0.500  0.000  0.000
K  0.500  0.000  0.500
Sn  0.000  0.000  0.000
Sn  0.500  0.500  0.500
Hg  0.000  0.000  0.500
Hg  0.500  0.500  0.000
Se  0.171  0.171  0.769
Se  0.171  0.829  0.231
Se  0.329  0.329  0.269
Se  0.329  0.671  0.731
Se  0.671  0.329  0.731
Se  0.671  0.671  0.269
Se  0.829  0.171  0.231
Se  0.829  0.829  0.769


Structure and simulated powder X-ray diffraction pattern of KSi2Hg (DFT lattice parameters and positions (GGA-PBE); a wavelength of 1.5418 Å).
Intensities are scaled so that the largest is 100.

Principal peaks in the range 2θ from 5° to 70°, low angle first:
two_theta, Rel. int.
21.32, 74
24.67, 34
35.17, 100
41.49, 43
43.43, 11
50.58, 17
55.49, 19
57.06, 15
63.10, 36
67.42, 14

Lattice parameters (Å, degrees): 7.218 7.218 7.218 90.00 90.00 90.00
Atoms (fractional coordinates):
K  0.000  0.000  0.000
K  0.000  0.500  0.500
K  0.500  0.000  0.500
K  0.500  0.500  0.000
Si  0.000  0.000  0.500
Si  0.000  0.500  0.000
Si  0.250  0.250  0.750
Si  0.250  0.750  0.250
Si  0.500  0.000  0.000
Si  0.500  0.500  0.500
Si  0.750  0.250  0.250
Si  0.750  0.750  0.750
Hg  0.250  0.250  0.250
Hg  0.250  0.750  0.750
Hg  0.750  0.250  0.750
Hg  0.750  0.750  0.250


Structure and simulated powder X-ray diffraction pattern of K2SnHgTe4 (DFT lattice parameters and positions (GGA-PBE); a wavelength of 1.5418 Å).
Intensities are scaled so that the largest is 100.

Principal peaks in the range 2θ from 5° to 70°, low angle first:
two_theta, Rel. int.
14.25, 75
25.61, 95
28.74, 44
31.43, 100
40.46, 45
43.00, 21
43.71, 22
44.19, 30
46.20, 17
48.05, 19
56.86, 13
66.97, 23

Lattice parameters (Å, degrees): 8.787 8.787 7.472 90.00 90.00 90.00
Atoms (fractional coordinates):
K  0.000  0.500  0.000
K  0.000  0.500  0.500
K  0.500  0.000  0.000
K  0.500  0.000  0.500
Sn  0.000  0.000  0.000
Sn  0.500  0.500  0.500
Hg  0.000  0.000  0.500
Hg  0.500  0.500  0.000
Te  0.175  0.175  0.238
Te  0.175  0.825  0.762
Te  0.325  0.325  0.738
Te  0.325  0.675  0.262
Te  0.675  0.325  0.262
Te  0.675  0.675  0.738
Te  0.825  0.175  0.762
Te  0.825  0.825  0.238


Structure and simulated powder X-ray diffraction pattern of LaHg3 (DFT lattice parameters and positions (GGA-PBE); a wavelength of 1.5418 Å).
Intensities are scaled so that the largest is 100.

Principal peaks in the range 2θ from 5° to 70°, low angle first:
two_theta, Rel. int.
14.80, 2
22.72, 1
25.78, 1
29.86, 20
34.64, 100
43.69, 2
46.41, 12
53.00, 16
62.03, 3
62.14, 15
64.89, 31

Lattice parameters (Å, degrees): 6.911 6.911 5.172 90.00 90.00 120.00
Atoms (fractional coordinates):
La  0.333  0.667  0.250
La  0.667  0.333  0.750
Hg  0.162  0.324  0.750
Hg  0.162  0.838  0.750
Hg  0.324  0.162  0.250
Hg  0.676  0.838  0.750
Hg  0.838  0.162  0.250
Hg  0.838  0.676  0.250